Record 1
# UOsBr2O6
Calculated powder X-ray diffraction pattern, a wavelength of 1.5418 Å. Input: a cell relaxed with PBE.

Top 10 peaks for 2θ = 10–90°, by intensity:
6.004 Å, intensity 100.0, (2 0 0); 3.223 Å, intensity 93.6, (3 1 -1); 3.445 Å, intensity 77.8, (1 1 1); 3.203 Å, intensity 50.2, (0 2 0); 2.000 Å, intensity 50.0, (6 0 0); 4.000 Å, intensity 48.3, (1 1 -1); 2.489 Å, intensity 40.1, (3 1 1); 3.002 Å, intensity 22.5, (4 0 0); 2.560 Å, intensity 20.7, (2 0 -2); 1.940 Å, intensity 20.7, (0 2 2)

Cell: 12.665 6.406 5.143 Å, 90.00 108.55 90.00°
Space group C2/m (No. 12)
One atom of each set of equivalent atoms:
U 0.000 0.000 0.000 [2 per cell]
Os 0.000 0.500 0.500 [2 per cell]
Br 0.175 0.000 0.609 [4 per cell]
O 0.004 0.298 0.748 [8 per cell]
O 0.157 0.000 0.094 [4 per cell]



Record 2
# KNpSb2O8
Calculated powder X-ray diffraction pattern, a wavelength of 1.5418 Å. Input: a cell relaxed with PBE.

Top 10 peaks for 2θ = 10–90°, by intensity:
2.752 Å, intensity 100.0, (1 1 2); 3.770 Å, intensity 75.6, (0 2 0); 3.556 Å, intensity 59.6, (2 0 0); 1.915 Å, intensity 49.3, (1 3 2); 4.048 Å, intensity 45.4, (1 1 1); 1.856 Å, intensity 37.8, (3 1 2); 6.499 Å, intensity 36.6, (0 0 1); 2.587 Å, intensity 32.4, (2 2 0); 1.523 Å, intensity 25.9, (3 3 2); 1.185 Å, intensity 15.1, (6 0 0)

Cell: 7.111 7.541 6.499 Å, 90.00 90.00 90.00°
Space group Cmmm (No. 65)
One atom of each set of equivalent atoms:
K 0.000 0.000 0.000 [2 per cell]
Np 0.000 0.000 0.500 [2 per cell]
Sb 0.000 0.500 0.249 [4 per cell]
O 0.000 0.317 0.500 [4 per cell]
O 0.000 0.334 0.000 [4 per cell]
O 0.218 0.000 0.292 [8 per cell]



Record 3
# V4PS5
Calculated powder X-ray diffraction pattern, a wavelength of 1.5418 Å. Input: a cell relaxed with PBE.

Top 10 peaks for 2θ = 10–90°, by intensity:
2.325 Å, intensity 100.0, (1 1 -2); 4.854 Å, intensity 38.4, (2 0 1); 6.914 Å, intensity 36.7, (0 0 1); 2.457 Å, intensity 36.2, (6 0 0); 1.784 Å, intensity 26.9, (5 1 2); 2.026 Å, intensity 23.0, (5 1 1); 2.375 Å, intensity 18.3, (6 0 -1); 1.713 Å, intensity 16.8, (2 0 -4); 1.607 Å, intensity 15.3, (7 1 -2); 2.519 Å, intensity 14.5, (3 1 -1)

Cell: 14.786 3.164 6.936 Å, 90.00 94.55 90.00°
Space group C2/m (No. 12)
One atom of each set of equivalent atoms:
V 0.030 0.000 0.251 [4 per cell]
V 0.185 0.500 0.097 [4 per cell]
P 0.000 0.500 0.000 [2 per cell]
S 0.000 0.500 0.500 [2 per cell]
S 0.159 0.000 0.849 [4 per cell]
S 0.178 0.000 0.345 [4 per cell]



Record 4
# ErBe9Ir2
Calculated powder X-ray diffraction pattern, a wavelength of 1.5418 Å. Input: a cell relaxed with PBE.

Top 10 peaks for 2θ = 10–90°, by intensity:
2.298 Å, intensity 100.0, (1 0 5); 3.715 Å, intensity 76.7, (1 0 1); 2.221 Å, intensity 65.0, (1 1 0); 3.847 Å, intensity 59.9, (1 0 0); 1.888 Å, intensity 39.4, (1 1 4); 1.297 Å, intensity 32.8, (2 1 5); 7.164 Å, intensity 31.5, (0 0 2); 1.597 Å, intensity 29.9, (2 0 5); 3.582 Å, intensity 29.4, (0 0 4); 2.621 Å, intensity 21.0, (1 0 4)

Cell: 4.4422 4.4422 14.3272 Å, 90.00 90.00 120.00°
Space group P6_3/mmc (No. 194)
One atom of each set of equivalent atoms:
Er 0.3333 0.6667 0.2500 [2 per cell]
Be 0.0000 0.0000 0.0000 [2 per cell]
Be 0.0000 0.0000 0.2500 [2 per cell]
Be 0.1698 0.3396 0.6174 [12 per cell]
Be 0.3333 0.6667 0.7500 [2 per cell]
Ir 0.3333 0.6667 0.0413 [4 per cell]



Record 5
# Na2Dy2SnS6
Calculated powder X-ray diffraction pattern, a wavelength of 1.5418 Å. Input: a cell relaxed with PBE.

Top 10 peaks for 2θ = 10–90°, by intensity:
6.826 Å, intensity 100.0, (0 0 1); 2.834 Å, intensity 61.5, (1 3 1); 3.341 Å, intensity 42.8, (1 3 0); 2.806 Å, intensity 29.3, (2 0 -2); 2.033 Å, intensity 21.5, (1 3 -3); 1.957 Å, intensity 20.2, (3 3 -1); 2.222 Å, intensity 15.5, (1 3 2); 3.205 Å, intensity 14.8, (1 3 -1); 1.875 Å, intensity 14.8, (0 6 1); 2.060 Å, intensity 11.1, (2 0 2)

Cell: 6.785 11.712 7.155 Å, 90.00 107.44 90.00°
Space group C2/m (No. 12)
One atom of each set of equivalent atoms:
Na 0.000 0.166 0.000 [4 per cell]
Dy 0.000 0.332 0.500 [4 per cell]
Sn 0.000 0.000 0.500 [2 per cell]
S 0.230 0.161 0.720 [8 per cell]
S 0.241 0.000 0.284 [4 per cell]